(1)
The following is a computed powder XRD pattern of CuPd2Br6. It was derived from a cell relaxed with PBE, using CuKα.
No peak broadening, texture or thermal motion is included.

Structural model:
```
data_CuPd2Br6
_chemical_formula_sum 'Cu4 Pd8 Br24'
_space_group_name_H-M_alt 'C 1 2/c 1'
_space_group_IT_number 15
_cell_length_a 8.390
_cell_length_b 12.003
_cell_length_c 11.607
_cell_angle_alpha 90.00
_cell_angle_beta 100.68
_cell_angle_gamma 90.00
loop_
_space_group_symop_operation_xyz
'x,y,z'
'-x,-y,-z'
'-x,y,-z+1/2'
'x,-y,z+1/2'
'x+1/2,y+1/2,z'
'-x+1/2,-y+1/2,-z'
'-x+1/2,y+1/2,-z+1/2'
'x+1/2,-y+1/2,z+1/2'
loop_
_atom_site_label
_atom_site_type_symbol
_atom_site_fract_x
_atom_site_fract_y
_atom_site_fract_z
Cu1 Cu 0.000 0.084 0.250
Pd1 Pd 0.108 0.412 0.115
Br1 Br 0.090 0.386 0.569
Br2 Br 0.139 0.210 0.137
Br3 Br 0.189 0.058 0.705
```

Principal peaks in the range 2θ = 15–90°, in order of rising 2θ:
2θ/deg, d/Å, Rel. int.
16.17, 5.481, 41
18.72, 4.740, 61
24.18, 3.680, 100
28.98, 3.081, 33
30.81, 2.902, 24
35.97, 2.497, 35
37.04, 2.427, 28
41.49, 2.176, 23
41.93, 2.154, 23
49.54, 1.840, 22


(2)
The following is a computed powder XRD pattern of Rb3CuPd2Br9. It was derived from a cell relaxed with PBE, using CuKα.
No peak broadening, texture or thermal motion is included.

Structural model:
```
data_Rb3CuPd2Br9
_chemical_formula_sum 'Rb3 Cu1 Pd2 Br9'
_space_group_name_H-M_alt 'P -3 m 1'
_space_group_IT_number 164
_space_group_name_Hall '-P 3 2"'
_cell_length_a 7.4374
_cell_length_b 7.4374
_cell_length_c 9.1043
_cell_angle_alpha 90.00
_cell_angle_beta 90.00
_cell_angle_gamma 120.00
loop_
_atom_site_label
_atom_site_type_symbol
_atom_site_fract_x
_atom_site_fract_y
_atom_site_fract_z
Rb1 Rb 0.0000 0.0000 0.0000
Rb2 Rb 0.3333 0.6667 0.6647
Cu1 Cu 0.0000 0.0000 0.5000
Pd1 Pd 0.3333 0.6667 0.1686
Br1 Br 0.0000 0.5000 0.0000
Br2 Br 0.1657 0.3314 0.3341
```

Principal peaks in the range 2θ = 15–90°, in order of rising 2θ:
2θ/deg, d/Å, Rel. int.
16.86, 5.258, 27
23.93, 3.718, 28
29.42, 3.036, 61
34.10, 2.629, 100
38.28, 2.352, 13
42.09, 2.147, 12
49.00, 1.859, 70
58.19, 1.585, 25
61.05, 1.518, 24
81.94, 1.176, 31


(3)
The following is a computed powder XRD pattern of PmCuBr. It was derived from a cell relaxed with PBE, using CuKα.
No peak broadening, texture or thermal motion is included.

Structural model:
```
data_PmCuBr
_chemical_formula_sum 'Pm6 Cu6 Br6'
_space_group_name_H-M_alt 'R -3 m'
_space_group_IT_number 166
_space_group_name_Hall '-R 3 2"'
_cell_length_a 4.1320
_cell_length_b 4.1320
_cell_length_c 34.2179
_cell_angle_alpha 90.00
_cell_angle_beta 90.00
_cell_angle_gamma 120.00
loop_
_atom_site_label
_atom_site_type_symbol
_atom_site_fract_x
_atom_site_fract_y
_atom_site_fract_z
Pm1 Pm 0.0000 0.0000 0.0569
Cu1 Cu 0.0000 0.0000 0.3339
Br1 Br 0.0000 0.0000 0.2205
```

Principal peaks in the range 2θ = 15–90°, in order of rising 2θ:
2θ/deg, d/Å, Rel. int.
25.02, 3.559, 44
30.97, 2.887, 100
32.63, 2.745, 45
36.33, 2.473, 26
38.34, 2.348, 45
43.82, 2.066, 62
47.85, 1.901, 16
54.62, 1.680, 20
66.88, 1.399, 34
72.51, 1.304, 17


(4)
The following is a computed powder XRD pattern of Pr7CuBr12. It was derived from a cell relaxed with PBE, using CuKα.
No peak broadening, texture or thermal motion is included.

Structural model:
```
data_Pr7CuBr12
_chemical_formula_sum 'Pr21 Cu3 Br36'
_space_group_name_H-M_alt 'R -3'
_space_group_IT_number 148
_space_group_name_Hall '-R 3'
_cell_length_a 15.4777
_cell_length_b 15.4777
_cell_length_c 10.1830
_cell_angle_alpha 90.00
_cell_angle_beta 90.00
_cell_angle_gamma 120.00
loop_
_atom_site_label
_atom_site_type_symbol
_atom_site_fract_x
_atom_site_fract_y
_atom_site_fract_z
Pr1 Pr 0.0000 0.0000 0.0000
Pr2 Pr 0.0438 0.1662 0.3382
Cu1 Cu 0.0000 0.0000 0.5000
Br1 Br 0.0276 0.5864 0.1626
Br2 Br 0.0488 0.1837 0.8444
```

Principal peaks in the range 2θ = 15–90°, in order of rising 2θ:
2θ/deg, d/Å, Rel. int.
15.83, 5.598, 8
28.72, 3.108, 9
29.76, 3.002, 100
42.10, 2.146, 37
43.06, 2.100, 36
52.40, 1.746, 19
61.80, 1.501, 12
69.38, 1.354, 15
70.77, 1.331, 15
77.62, 1.230, 11


(5)
The following is a computed powder XRD pattern of Cu3PtBr9. It was derived from a cell relaxed with PBE, using CuKα.
No peak broadening, texture or thermal motion is included.

Structural model:
```
data_Cu3PtBr9
_chemical_formula_sum 'Cu12 Pt4 Br36'
_space_group_name_H-M_alt 'C 1 c 1'
_space_group_IT_number 9
_cell_length_a 18.941
_cell_length_b 8.236
_cell_length_c 13.161
_cell_angle_alpha 90.00
_cell_angle_beta 126.85
_cell_angle_gamma 90.00
loop_
_space_group_symop_operation_xyz
'x,y,z'
'x,-y,z+1/2'
'x+1/2,y+1/2,z'
'x+1/2,-y+1/2,z+1/2'
loop_
_atom_site_label
_atom_site_type_symbol
_atom_site_fract_x
_atom_site_fract_y
_atom_site_fract_z
Cu1 Cu 0.000 0.037 0.000
Cu2 Cu 0.129 0.402 0.943
Cu3 Cu 0.387 0.109 0.597
Pt1 Pt 0.255 0.234 0.761
Br1 Br 0.038 0.411 0.271
Br2 Br 0.049 0.154 0.889
Br3 Br 0.134 0.039 0.710
Br4 Br 0.141 0.445 0.609
Br5 Br 0.255 0.353 0.940
Br6 Br 0.256 0.104 0.587
Br7 Br 0.371 0.032 0.920
Br8 Br 0.374 0.426 0.802
Br9 Br 0.426 0.384 0.586
```

Principal peaks in the range 2θ = 15–90°, in order of rising 2θ:
2θ/deg, d/Å, Rel. int.
16.73, 5.298, 100
17.82, 4.978, 14
18.95, 4.683, 15
23.11, 3.849, 24
28.28, 3.156, 15
29.34, 3.044, 29
32.10, 2.788, 16
32.92, 2.721, 17
44.46, 2.038, 17
48.04, 1.894, 14


(6)
The following is a computed powder XRD pattern of RbCuPtBr6. It was derived from a cell relaxed with PBE, using CuKα.
No peak broadening, texture or thermal motion is included.

Structural model:
```
data_RbCuPtBr6
_chemical_formula_sum 'Rb1 Cu1 Pt1 Br6'
_space_group_name_H-M_alt 'P 1'
_space_group_IT_number 1
_cell_length_a 6.628
_cell_length_b 7.012
_cell_length_c 7.640
_cell_angle_alpha 89.01
_cell_angle_beta 85.66
_cell_angle_gamma 63.15
loop_
_space_group_symop_operation_xyz
'x,y,z'
loop_
_atom_site_label
_atom_site_type_symbol
_atom_site_fract_x
_atom_site_fract_y
_atom_site_fract_z
Rb1 Rb 0.000 0.000 0.000
Cu1 Cu 0.380 0.216 0.509
Pt1 Pt 0.679 0.616 0.500
Br1 Br 0.009 0.340 0.659
Br2 Br 0.371 0.906 0.339
Br3 Br 0.415 0.587 0.740
Br4 Br 0.622 0.336 0.334
Br5 Br 0.691 0.914 0.671
Br6 Br 0.964 0.599 0.259
```

Principal peaks in the range 2θ = 15–90°, in order of rising 2θ:
2θ/deg, d/Å, Rel. int.
15.03, 5.896, 43
18.32, 4.844, 62
18.71, 4.742, 53
19.76, 4.493, 100
27.03, 3.299, 64
27.85, 3.203, 67
33.45, 2.679, 72
34.43, 2.605, 68
37.35, 2.407, 78
46.18, 1.966, 48


(7)
The following is a computed powder XRD pattern of PuCu3Br9. It was derived from a cell relaxed with PBE, using CuKα.
No peak broadening, texture or thermal motion is included.

Structural model:
```
data_PuCu3Br9
_chemical_formula_sum 'Pu4 Cu12 Br36'
_space_group_name_H-M_alt 'C 1 c 1'
_space_group_IT_number 9
_cell_length_a 18.422
_cell_length_b 9.465
_cell_length_c 13.334
_cell_angle_alpha 90.00
_cell_angle_beta 127.95
_cell_angle_gamma 90.00
loop_
_space_group_symop_operation_xyz
'x,y,z'
'x,-y,z+1/2'
'x+1/2,y+1/2,z'
'x+1/2,-y+1/2,z+1/2'
loop_
_atom_site_label
_atom_site_type_symbol
_atom_site_fract_x
_atom_site_fract_y
_atom_site_fract_z
Pu1 Pu 0.000 0.223 0.000
Cu1 Cu 0.142 0.126 0.838
Cu2 Cu 0.232 0.423 0.723
Cu3 Cu 0.353 0.076 0.658
Br1 Br 0.003 0.089 0.815
Br2 Br 0.123 0.359 0.755
Br3 Br 0.126 0.030 0.176
Br4 Br 0.153 0.375 0.071
Br5 Br 0.259 0.280 0.604
Br6 Br 0.300 0.118 0.015
Br7 Br 0.357 0.461 0.423
Br8 Br 0.392 0.050 0.348
Br9 Br 0.489 0.175 0.686
```

Principal peaks in the range 2θ = 15–90°, in order of rising 2θ:
2θ/deg, d/Å, Rel. int.
16.10, 5.505, 100
17.45, 5.083, 17
18.11, 4.898, 16
20.60, 4.313, 16
22.27, 3.992, 28
26.02, 3.424, 21
27.77, 3.213, 26
31.04, 2.881, 21
39.02, 2.308, 22
41.45, 2.178, 20


(8)
The following is a computed powder XRD pattern of Rb2Cu3Br9. It was derived from a cell relaxed with PBE, using CuKα.
No peak broadening, texture or thermal motion is included.

Structural model:
```
data_Rb2Cu3Br9
_chemical_formula_sum 'Rb8 Cu12 Br36'
_space_group_name_H-M_alt 'C 1 2/m 1'
_space_group_IT_number 12
_cell_length_a 11.693
_cell_length_b 17.647
_cell_length_c 10.848
_cell_angle_alpha 90.00
_cell_angle_beta 118.10
_cell_angle_gamma 90.00
loop_
_space_group_symop_operation_xyz
'x,y,z'
'-x,-y,-z'
'-x,y,-z'
'x,-y,z'
'x+1/2,y+1/2,z'
'-x+1/2,-y+1/2,-z'
'-x+1/2,y+1/2,-z'
'x+1/2,-y+1/2,z'
loop_
_atom_site_label
_atom_site_type_symbol
_atom_site_fract_x
_atom_site_fract_y
_atom_site_fract_z
Rb1 Rb 0.082 0.162 0.302
Cu1 Cu 0.139 0.500 0.845
Cu2 Cu 0.167 0.386 0.178
Br1 Br 0.000 0.301 0.000
Br2 Br 0.026 0.403 0.287
Br3 Br 0.183 0.209 0.653
Br4 Br 0.209 0.000 0.692
Br5 Br 0.230 0.000 0.279
Br6 Br 0.236 0.100 0.979
```

Principal peaks in the range 2θ = 15–90°, in order of rising 2θ:
2θ/deg, d/Å, Rel. int.
17.67, 5.020, 53
18.54, 4.785, 51
27.42, 3.253, 56
27.97, 3.190, 47
28.23, 3.161, 45
30.84, 2.899, 100
35.04, 2.561, 79
37.34, 2.408, 59
46.63, 1.948, 40
46.90, 1.937, 39